Theoretical X-ray powder pattern of KFe3P2O12 for CuKα, from a PBE+U-relaxed structure.

```
KFe3P2O12
1.0
6.3798 0.0000 0.0000
0.0000 7.4181 0.0000
0.0000 0.0000 10.0623
K Fe P O
2 6 4 24
direct
0.0000 0.0320 0.0000 K
0.0000 0.9680 0.5000 K
0.2618 0.4621 0.4617 Fe
0.2618 0.5379 0.9617 Fe
0.5000 0.1985 0.7313 Fe
0.5000 0.8015 0.2313 Fe
0.7382 0.4621 0.4617 Fe
0.7382 0.5379 0.9617 Fe
0.0000 0.3182 0.7247 P
0.0000 0.6818 0.2247 P
0.5000 0.1910 0.0466 P
0.5000 0.8090 0.5466 P
0.0000 0.4287 0.5919 O
0.0000 0.4417 0.8517 O
0.0000 0.5583 0.3517 O
0.0000 0.5713 0.0919 O
0.1936 0.1957 0.7297 O
0.1936 0.8043 0.2297 O
0.2197 0.2537 0.3892 O
0.2197 0.7463 0.8892 O
0.2987 0.3115 0.0574 O
0.2987 0.6885 0.5574 O
0.5000 0.0506 0.1559 O
0.5000 0.0938 0.9109 O
0.5000 0.3551 0.5670 O
0.5000 0.4542 0.8452 O
0.5000 0.5458 0.3452 O
0.5000 0.6449 0.0670 O
0.5000 0.9062 0.4109 O
0.5000 0.9494 0.6559 O
0.7013 0.3115 0.0574 O
0.7013 0.6885 0.5574 O
0.7803 0.2537 0.3892 O
0.7803 0.7463 0.8892 O
0.8064 0.1957 0.7297 O
0.8064 0.8043 0.2297 O
```

Main lines, in order of rising 2θ (10 to 90 degrees two-theta):
- hkl 0 1 0, d 7.418, rel. 80.6
- hkl 0 1 1, d 5.971, rel. 100.0
- hkl 0 1 2, d 4.164, rel. 58.8
- hkl 0 2 1, d 3.484, rel. 69.0
- hkl 0 1 3, d 3.056, rel. 96.4
- hkl 0 2 2, d 2.985, rel. 77.9
- hkl 2 1 1, d 2.814, rel. 53.5
- hkl 2 1 2, d 2.532, rel. 71.8